Diffraction record for Nb8Zn4C3. The PXRD pattern is theoretical, not measured: it uses a structure optimized by DFT (PBE) and Cu Kα (weighted mean of Kα1 and Kα2).

a b c (Å): 8.498 8.498 8.498
angles (deg): 60.00 60.00 60.00
Atoms (fractional coordinates):
Nb1 0.000 0.000 0.000
Nb2 0.000 0.000 0.500
Nb3 0.000 0.500 0.000
Nb4 0.185 0.185 0.565
Nb5 0.185 0.565 0.185
Nb6 0.185 0.565 0.565
Nb7 0.435 0.435 0.815
Nb8 0.435 0.815 0.435
Nb9 0.435 0.815 0.815
Nb10 0.500 0.000 0.000
Nb11 0.565 0.185 0.185
Nb12 0.565 0.185 0.565
Nb13 0.565 0.565 0.185
Nb14 0.815 0.435 0.435
Nb15 0.815 0.435 0.815
Nb16 0.815 0.815 0.435
Zn1 0.138 0.787 0.787
Zn2 0.213 0.213 0.213
Zn3 0.213 0.213 0.862
Zn4 0.213 0.862 0.213
Zn5 0.787 0.138 0.787
Zn6 0.787 0.787 0.138
Zn7 0.787 0.787 0.787
Zn8 0.862 0.213 0.213
C1 0.000 0.500 0.500
C2 0.375 0.375 0.375
C3 0.500 0.000 0.500
C4 0.500 0.500 0.000
C5 0.500 0.500 0.500
C6 0.625 0.625 0.625

The 12 most intense peaks (10 to 90 degrees two-theta), low angle first:
2θ/deg  d (Å)  I/Imax
32.47  2.757  15
36.63  2.453  33
38.94  2.313  100
42.55  2.125  36
45.27  2.003  6
59.04  1.565  7
63.34  1.468  5
65.95  1.416  32
67.49  1.388  10
79.32  1.208  16
81.71  1.178  5
83.14  1.162  6